Record 1
Simulated PXRD pattern
Compound: Ag4Te5Au
Radiation: a wavelength of 1.5418 Å
Structure: the PBE geometry in Alexandria
Kinematic intensities with the Lorentz-polarization factor, no thermal factor.

Peak list (8 most intense, 2θ from 5° to 70°, in order of rising 2θ)
| 2θ (°) | intensity | h k l |
| --- | --- | --- |
| 30.36 | 100.0 | 0 2 1 |
| 30.63 | 50.3 | 2 1 1 |
| 43.39 | 18.3 | 0 1 3 |
| 43.59 | 54.7 | 2 2 -1 |
| 43.73 | 36.4 | 2 3 2 |
| 54.15 | 9.5 | 2 2 4 |
| 54.18 | 18.7 | 2 4 0 |
| 63.16 | 11.2 | 0 4 2 |

Cell and atoms:
Unit cell a=5.838 b=7.188 c=7.201 alpha=80.55 beta=66.31 gamma=66.11
Fractional coordinates of all 10 atoms:
Ag (0.101, 0.195, 0.102)
Ag (0.297, 0.603, 0.304)
Ag (0.703, 0.397, 0.696)
Ag (0.899, 0.805, 0.898)
Te (0.000, 0.000, 0.500)
Te (0.210, 0.373, 0.706)
Te (0.417, 0.794, 0.874)
Te (0.583, 0.206, 0.126)
Te (0.790, 0.627, 0.294)
Au (0.500, 0.000, 0.500)

Record 2
Simulated PXRD pattern
Compound: Ag3TeAu3
Radiation: a wavelength of 1.5418 Å
Structure: the PBE geometry in Alexandria
Kinematic intensities with the Lorentz-polarization factor, no thermal factor.

Peak list (8 most intense, 2θ from 5° to 70°, in order of rising 2θ)
| 2θ (°) | intensity | h k l |
| --- | --- | --- |
| 16.81 | 33.6 | 1 1 0 |
| 23.87 | 41.8 | 2 0 0 |
| 26.73 | 18.6 | 2 1 0 |
| 29.34 | 100.0 | 2 1 1 |
| 41.97 | 43.9 | 2 2 2 |
| 45.51 | 60.0 | 3 2 1 |
| 48.85 | 36.0 | 4 0 0 |
| 68.98 | 17.2 | 5 2 1 |

Cell and atoms:
Unit cell a=7.457 b=7.457 c=7.457 alpha=90.00 beta=90.00 gamma=90.00
Fractional coordinates of all 14 atoms:
Ag (0.000, 0.250, 0.500)
Ag (0.000, 0.750, 0.500)
Ag (0.250, 0.500, 0.000)
Ag (0.500, 0.000, 0.250)
Ag (0.500, 0.000, 0.750)
Ag (0.750, 0.500, 0.000)
Te (0.000, 0.000, 0.000)
Te (0.500, 0.500, 0.500)
Au (0.000, 0.500, 0.250)
Au (0.000, 0.500, 0.750)
Au (0.250, 0.000, 0.500)
Au (0.500, 0.250, 0.000)
Au (0.500, 0.750, 0.000)
Au (0.750, 0.000, 0.500)